Record 1
Diffraction record for K2ZnO2. The powder XRD pattern is theoretical, not measured: it uses a PBE-relaxed structure and a wavelength of 1.5418 Å.
Intensities are scaled so that the largest is 100.

Crystal structure
```
data_K2ZnO2
_space_group_name_H-M_alt 'P b c n'
_space_group_IT_number 60
_space_group_name_Hall '-P 2n 2ab'
_cell_length_a 10.4116
_cell_length_b 6.0646
_cell_length_c 5.6062
_cell_angle_alpha 90.00
_cell_angle_beta 90.00
_cell_angle_gamma 90.00
loop_
_atom_site_label
_atom_site_type_symbol
_atom_site_fract_x
_atom_site_fract_y
_atom_site_fract_z
K1 K 0.1533 0.1307 0.0579
Zn1 Zn 0.0000 0.4810 0.7500
O1 O 0.0946 0.3161 0.4923
```

Largest 10 diffraction maxima, in order of rising 2θ, 15 to 90 degrees two-theta:
2θ 16.92, intensity 65
2θ 17.03, intensity 39
2θ 29.66, intensity 100
2θ 34.22, intensity 18
2θ 34.72, intensity 50
2θ 36.36, intensity 78
2θ 41.03, intensity 17
2θ 43.99, intensity 20
2θ 47.50, intensity 20
2θ 47.68, intensity 33

---

Record 2
Diffraction record for K4ZnO3. The powder XRD pattern is theoretical, not measured: it uses a PBE-relaxed structure and a wavelength of 1.5418 Å.
Intensities are scaled so that the largest is 100.

Crystal structure
```
data_K4ZnO3
_space_group_name_H-M_alt 'P -1'
_space_group_IT_number 2
_space_group_name_Hall '-P 1'
_cell_length_a 7.0071
_cell_length_b 9.0610
_cell_length_c 11.2606
_cell_angle_alpha 77.54
_cell_angle_beta 89.24
_cell_angle_gamma 69.63
loop_
_atom_site_label
_atom_site_type_symbol
_atom_site_fract_x
_atom_site_fract_y
_atom_site_fract_z
K1 K 0.9998 0.0228 0.2999
K2 K 0.1200 0.4035 0.1693
K3 K 0.1444 0.5859 0.3822
K4 K 0.1925 0.8536 0.0758
K5 K 0.2768 0.1551 0.4790
K6 K 0.3459 0.6232 0.8765
K7 K 0.3763 0.3648 0.7053
K8 K 0.4849 0.0494 0.2047
Zn1 Zn 0.2082 0.2232 0.9437
Zn2 Zn 0.3374 0.7341 0.5611
O1 O 0.0664 0.1711 0.0864
O2 O 0.1098 0.6630 0.6030
O3 O 0.1265 0.1960 0.7887
O4 O 0.3667 0.8579 0.4037
O5 O 0.4168 0.3094 0.9644
O6 O 0.4446 0.3213 0.3150
```

Largest 10 diffraction maxima, in order of rising 2θ, 15 to 90 degrees two-theta:
2θ 20.33, intensity 41
2θ 28.96, intensity 39
2θ 29.83, intensity 75
2θ 29.97, intensity 38
2θ 31.99, intensity 100
2θ 32.76, intensity 32
2θ 32.89, intensity 78
2θ 34.30, intensity 35
2θ 34.88, intensity 32
2θ 35.28, intensity 32